# TbHoTmTh
Calculated XRD peak list, CuKα. Input: a crystal structure in Alexandria, relaxed with GGA-PBE.
No peak broadening, texture or thermal motion is included.

Largest 6 diffraction maxima, low angle first, 2θ = 10–90°:
two_theta, d/Å, I (rel.), h k l
29.34, 3.045, 37, 0 1 2
31.52, 2.839, 46, 0 0 12
31.76, 2.817, 100, 0 1 5
34.34, 2.611, 78, 1 0 7
51.13, 1.787, 36, 1 1 0
61.31, 1.512, 42, 1 1 12

Crystal structure
```
data_TbHoTmTh
_cell_length_a 3.5731
_cell_length_b 3.5731
_cell_length_c 34.0633
_cell_angle_alpha 90.00
_cell_angle_beta 90.00
_cell_angle_gamma 120.00
_space_group_name_H-M_alt 'R 3 m'
_space_group_IT_number 160
_space_group_name_Hall 'R 3 -2"'
loop_
_atom_site_label
_atom_site_type_symbol
_atom_site_fract_x
_atom_site_fract_y
_atom_site_fract_z
_atom_site_occupancy
Tb1 Tb 0.0000 0.0000 0.0000 1
Ho1 Ho 0.0000 0.0000 0.2490 1
Tm1 Tm 0.0000 0.0000 0.8320 1
Th1 Th 0.0000 0.0000 0.4162 1
```